Starting from a structure optimized by DFT (GGA-PBE), the powder XRD pattern of Ca3C2O8 was computed for CuKα.

Lattice parameters (Å, degrees): 5.0368 5.0368 18.8886 90.00 90.00 120.00
Space group R-3m (No. 166, hexagonal axes)
Inequivalent atoms, fractional coordinates:
1 Ca 0.0000 0.0000 0.0000 [3 per cell]
2 Ca 0.0000 0.0000 0.2118 [6 per cell]
3 C 0.0000 0.0000 0.4098 [6 per cell]
4 O 0.0000 0.0000 0.3356 [6 per cell]
5 O 0.0290 0.5145 0.2347 [18 per cell]

The 8 most intense peaks (10 to 90 degrees two-theta), sorted by position:
| two_theta | intensity |
| --- | --- |
| 31.32 | 96 |
| 35.65 | 100 |
| 42.54 | 44 |
| 43.10 | 36 |
| 45.83 | 43 |
| 48.18 | 48 |
| 57.13 | 26 |
| 75.50 | 23 |